No. 1
This entry pairs a crystal structure of Pr4Dy2Pb3N2 with its theoretical powder diffractogram. Radiation: copper Kα. Structure: a crystal structure in Alexandria, relaxed with PBE.
Peak positions follow from Bragg's law for the DFT cell and can differ from measured ones.

Structure:
Cell: 4.9185 4.9185 25.9065 Å, 90.00 90.00 90.00°
Space group I4/mmm (No. 139)
Asymmetric unit:
1 Pr 0.0000 0.5000 0.0864 (multiplicity 8)
2 Dy 0.0000 0.0000 0.1928 (multiplicity 4)
3 Pb 0.0000 0.0000 0.3188 (multiplicity 4)
4 Pb 0.0000 0.0000 0.5000 (multiplicity 2)
5 N 0.0000 0.0000 0.1080 (multiplicity 4)

Most intense lines, 10° ≤ 2θ ≤ 90°, by angle:
index  2θ/deg  I/Imax
1 1 2  26.54  34
1 1 4  29.14  19
1 1 6  33.07  100
0 0 10  34.62  15
2 0 0  36.54  55
2 0 10  51.22  20
2 2 0  52.63  19
3 1 6  63.58  31



No. 2
This entry pairs a crystal structure of Pu4SeS3 with its theoretical powder diffractogram. Radiation: copper Kα. Structure: a crystal structure in Alexandria, relaxed with PBE.
Peak positions follow from Bragg's law for the DFT cell and can differ from measured ones.

Structure:
Cell: 3.9059 3.9059 14.0270 Å, 90.00 90.00 120.00°
Space group P-3m1 (No. 164)
Asymmetric unit:
1 Pu 0.3333 0.6667 0.3654 (multiplicity 2)
2 Pu 0.3333 0.6667 0.8780 (multiplicity 2)
3 Se 0.0000 0.0000 0.5000 (multiplicity 1)
4 S 0.0000 0.0000 0.0000 (multiplicity 1)
5 S 0.0000 0.0000 0.2448 (multiplicity 2)

Most intense lines, 10° ≤ 2θ ≤ 90°, by angle:
index  2θ/deg  I/Imax
0 0 4  25.40  20
1 0 2  29.31  100
0 1 4  36.92  34
1 1 0  46.50  27
1 0 6  47.26  26
1 1 4  53.72  17
0 2 2  55.92  17
2 1 2  75.60  14



No. 3
This entry pairs a crystal structure of CeBeCu5 with its theoretical powder diffractogram. Radiation: copper Kα. Structure: a crystal structure in Alexandria, relaxed with PBE.
Peak positions follow from Bragg's law for the DFT cell and can differ from measured ones.

Structure:
Cell: 7.9432 5.0622 9.9507 Å, 90.00 90.00 90.00°
Space group Pnma (No. 62)
Asymmetric unit:
1 Ce 0.2405 0.2500 0.0632 (multiplicity 4)
2 Be 0.1570 0.7500 0.8588 (multiplicity 4)
3 Cu 0.0618 0.0085 0.3025 (multiplicity 8)
4 Cu 0.0706 0.7500 0.0843 (multiplicity 4)
5 Cu 0.1048 0.2500 0.5132 (multiplicity 4)
6 Cu 0.1807 0.2500 0.7628 (multiplicity 4)

Most intense lines, 10° ≤ 2θ ≤ 90°, by angle:
index  2θ/deg  I/Imax
1 0 2  21.07  28
1 0 4  37.90  55
3 1 1  39.46  100
2 1 3  39.63  78
0 2 2  39.96  43
1 2 2  41.62  30
2 2 0  42.34  32
4 0 1  46.60  50